1.
Diffraction record for Li4Mn3CoO8. The X-ray diffraction stick pattern is simulated, not measured: it uses a structure optimized by DFT (GGA+U) and Cu Kα.

Crystal structure
Cell: 3.0305 5.1221 9.8473 Å, 86.16 84.88 86.12°
Space group P-1 (No. 2)
Asymmetric unit:
Li: 0.1229 0.3734 0.2533 x2
Li: 0.3743 0.1249 0.7494 x2
Mn: 0.0000 0.0000 0.5000 x1
Mn: 0.2506 0.7492 0.9998 x2
Co: 0.5000 0.5000 0.5000 x1
O: 0.0671 0.6860 0.3881 x2
O: 0.1677 0.0518 0.1146 x2
O: 0.3326 0.4469 0.8850 x2
O: 0.4170 0.8179 0.6172 x2

The 8 most intense peaks (5° ≤ 2θ ≤ 70°), by angle:
d (Å)	I/Imax
4.895	100
2.667	20
2.506	13
2.471	12
2.243	34
2.072	25
2.039	24
1.509	16

2.
Diffraction record for Li7Mn2Co3O12. The X-ray diffraction stick pattern is simulated, not measured: it uses a structure optimized by DFT (GGA+U) and Cu Kα.

Crystal structure
Cell: 3.0102 7.6411 10.1422 Å, 72.67 87.84 81.82°
Space group P1 (No. 1)
Asymmetric unit:
Li: 0.0000 0.0000 0.0000 x1
Li: 0.0037 0.9928 0.5167 x1
Li: 0.3331 0.3310 0.0051 x1
Li: 0.3433 0.3283 0.5139 x1
Li: 0.5022 0.9960 0.7587 x1
Li: 0.6634 0.6618 0.0059 x1
Li: 0.6697 0.6621 0.5115 x1
Mn: 0.5071 0.9945 0.2614 x1
Mn: 0.8310 0.3299 0.2576 x1
Co: 0.1588 0.6727 0.7569 x1
Co: 0.1691 0.6631 0.2578 x1
Co: 0.8447 0.3195 0.7609 x1
O: 0.0986 0.8046 0.8729 x1
O: 0.1130 0.8342 0.3767 x1
O: 0.2236 0.4898 0.1402 x1
O: 0.2269 0.4998 0.6519 x1
O: 0.4342 0.1770 0.8735 x1
O: 0.4479 0.1632 0.3776 x1
O: 0.5693 0.8138 0.6447 x1
O: 0.5763 0.8260 0.1430 x1
O: 0.7575 0.5017 0.3722 x1
O: 0.7778 0.4916 0.8654 x1
O: 0.8923 0.1607 0.1437 x1
O: 0.9034 0.1886 0.6441 x1

The 8 most intense peaks (5° ≤ 2θ ≤ 70°), by angle:
d (Å)	I/Imax
7.225	10
4.841	100
2.630	20
2.469	23
2.210	37
2.043	28
2.034	26
1.500	25

3.
Diffraction record for Li7Mn2Co3O12. The X-ray diffraction stick pattern is simulated, not measured: it uses a structure optimized by DFT (GGA+U) and Cu Kα.

Crystal structure
Cell: 19.4646 8.5253 5.1748 Å, 90.00 98.09 90.00°
Space group C2 (No. 5)
Asymmetric unit:
Li: 0.1251 0.0000 0.3850 x4
Li: 0.1250 0.4992 0.8852 x4
Li: 0.1271 0.1701 0.8712 x4
Li: 0.1276 0.6712 0.3715 x4
Li: 0.1292 0.3332 0.3633 x4
Li: 0.1291 0.8344 0.8585 x4
Li: 0.2487 0.8362 0.2533 x4
Mn: 0.0000 0.0026 0.0000 x2
Mn: 0.0000 0.1646 0.5000 x2
Mn: 0.0000 0.5053 0.5000 x2
Mn: 0.0000 0.6636 0.0000 x2
Co: 0.0000 0.3331 0.0000 x2
Co: 0.0000 0.8338 0.5000 x2
Co: 0.2496 0.0108 0.7493 x4
Co: 0.2505 0.1693 0.2452 x4
O: 0.0536 0.3347 0.6992 x4
O: 0.0538 0.8334 0.1994 x4
O: 0.0592 0.4973 0.1674 x4
O: 0.0588 0.9985 0.6683 x4
O: 0.0595 0.1684 0.1677 x4
O: 0.0596 0.6696 0.6674 x4
O: 0.1920 0.1552 0.5678 x4
O: 0.1920 0.6541 0.0652 x4
O: 0.1950 0.8380 0.5897 x4
O: 0.1961 0.3351 0.0944 x4
O: 0.1973 0.0172 0.0415 x4
O: 0.1981 0.5189 0.5468 x4

The 8 most intense peaks (5° ≤ 2θ ≤ 70°), by angle:
d (Å)	I/Imax
4.818	100
4.398	11
2.567	18
2.444	23
2.156	32
2.027	52
1.480	15
1.473	15

4.
Diffraction record for Li4MnCo2O7. The X-ray diffraction stick pattern is simulated, not measured: it uses a structure optimized by DFT (GGA+U) and Cu Kα.

Crystal structure
Cell: 4.9729 5.0786 10.3981 Å, 101.18 96.01 100.63°
Space group P1 (No. 1)
Asymmetric unit:
Li: 0.0000 0.0000 0.0000 x1
Li: 0.0033 0.9988 0.4996 x1
Li: 0.1537 0.2810 0.7953 x1
Li: 0.2863 0.5607 0.0721 x1
Li: 0.4266 0.8627 0.3495 x1
Li: 0.5805 0.1415 0.6494 x1
Li: 0.7203 0.4278 0.9315 x1
Li: 0.8510 0.7199 0.2093 x1
Mn: 0.2929 0.5707 0.5755 x1
Mn: 0.8654 0.7180 0.7210 x1
Co: 0.1408 0.2813 0.2826 x1
Co: 0.4381 0.8606 0.8655 x1
Co: 0.5737 0.1417 0.1358 x1
Co: 0.7192 0.4196 0.4254 x1
O: 0.0625 0.6118 0.3856 x1
O: 0.0752 0.6570 0.8737 x1
O: 0.1999 0.9050 0.6723 x1
O: 0.2429 0.9655 0.1852 x1
O: 0.3695 0.1902 0.9622 x1
O: 0.3803 0.2339 0.4719 x1
O: 0.4889 0.4702 0.2525 x1
O: 0.5270 0.5275 0.7617 x1
O: 0.6271 0.8099 0.0426 x1
O: 0.6537 0.7678 0.5538 x1
O: 0.7741 0.0412 0.8154 x1
O: 0.8071 0.0781 0.3194 x1
O: 0.8966 0.3435 0.1117 x1
O: 0.9398 0.3813 0.6084 x1

The 8 most intense peaks (5° ≤ 2θ ≤ 70°), by angle:
d (Å)	I/Imax
4.818	100
2.590	17
2.468	12
2.433	11
2.169	32
2.048	26
2.014	25
1.485	8

5.
Diffraction record for Li4MnCo2O7. The X-ray diffraction stick pattern is simulated, not measured: it uses a structure optimized by DFT (GGA+U) and Cu Kα.

Crystal structure
Cell: 5.1226 5.1253 10.1136 Å, 100.55 100.72 98.05°
Space group P1 (No. 1)
Asymmetric unit:
Li: 0.0000 0.0000 0.0000 x1
Li: 0.0001 0.0053 0.5038 x1
Li: 0.1464 0.5882 0.1480 x1
Li: 0.2766 0.1413 0.2981 x1
Li: 0.4337 0.7265 0.4354 x1
Li: 0.5644 0.2842 0.5688 x1
Li: 0.7231 0.8757 0.7122 x1
Li: 0.8557 0.4292 0.8587 x1
Mn: 0.5685 0.2900 0.0710 x1
Mn: 0.7168 0.8623 0.2176 x1
Co: 0.1349 0.5765 0.6425 x1
Co: 0.2852 0.1488 0.7873 x1
Co: 0.4263 0.7162 0.9297 x1
Co: 0.8653 0.4338 0.3706 x1
O: 0.0388 0.7842 0.3159 x1
O: 0.1067 0.8147 0.8256 x1
O: 0.2068 0.3902 0.4667 x1
O: 0.2278 0.3415 0.9603 x1
O: 0.3482 0.9384 0.6300 x1
O: 0.3754 0.9075 0.1018 x1
O: 0.4764 0.4933 0.7679 x1
O: 0.5263 0.5207 0.2425 x1
O: 0.6176 0.0948 0.8949 x1
O: 0.6457 0.0780 0.3794 x1
O: 0.7689 0.6683 0.0393 x1
O: 0.7898 0.6317 0.5423 x1
O: 0.8960 0.1963 0.1799 x1
O: 0.9739 0.2400 0.6921 x1

The 8 most intense peaks (5° ≤ 2θ ≤ 70°), by angle:
d (Å)	I/Imax
4.858	100
2.535	14
2.479	12
2.476	12
2.393	11
2.124	28
2.061	25
2.057	25

6.
Diffraction record for Li3MnCoO5. The X-ray diffraction stick pattern is simulated, not measured: it uses a structure optimized by DFT (GGA+U) and Cu Kα.

Crystal structure
Cell: 2.9544 2.9544 72.9199 Å, 90.00 90.00 120.00°
Space group R-3m (No. 166, hexagonal axes)
Asymmetric unit:
Li: 0.0000 0.0000 0.0000 x3
Li: 0.0000 0.0000 0.1017 x6
Li: 0.0000 0.0000 0.3038 x6
Li: 0.0000 0.0000 0.5000 x3
Mn: 0.0000 0.0000 0.4000 x6
Co: 0.0000 0.0000 0.1999 x6
O: 0.0000 0.0000 0.0525 x6
O: 0.0000 0.0000 0.1481 x6
O: 0.0000 0.0000 0.2514 x6
O: 0.0000 0.0000 0.3503 x6
O: 0.0000 0.0000 0.4517 x6

The 8 most intense peaks (5° ≤ 2θ ≤ 70°), by angle:
d (Å)	I/Imax
12.153	29
4.861	100
2.520	40
2.094	92
1.616	15
1.485	24
1.477	25
1.413	15

7.
Diffraction record for Li7Mn2Co3O12. The X-ray diffraction stick pattern is simulated, not measured: it uses a structure optimized by DFT (GGA+U) and Cu Kα.

Crystal structure
Cell: 5.2305 2.8611 14.5682 Å, 90.00 92.85 90.00°
Space group Pm (No. 6)
Asymmetric unit:
Li: 0.0000 0.0000 0.0000 x1
Li: 0.0035 0.0000 0.4926 x1
Li: 0.1689 0.5000 0.8206 x1
Li: 0.3563 0.0000 0.6493 x1
Li: 0.5010 0.5000 0.4966 x1
Li: 0.6615 0.0000 0.3320 x1
Li: 0.8279 0.5000 0.1676 x1
Mn: 0.5051 0.5000 0.9970 x1
Mn: 0.6803 0.0000 0.8246 x1
Co: 0.1342 0.5000 0.3376 x1
Co: 0.3191 0.0000 0.1647 x1
Co: 0.8718 0.5000 0.6447 x1
O: 0.0164 0.0000 0.2524 x1
O: 0.1600 0.5000 0.5850 x1
O: 0.1765 0.5000 0.0862 x1
O: 0.3209 0.0000 0.3993 x1
O: 0.3795 0.0000 0.9126 x1
O: 0.4713 0.5000 0.2351 x1
O: 0.5159 0.5000 0.7566 x1
O: 0.6597 0.0000 0.0709 x1
O: 0.6779 0.0000 0.5826 x1
O: 0.8377 0.5000 0.8998 x1
O: 0.8544 0.5000 0.4038 x1
O: 0.9611 0.0000 0.7461 x1

The 8 most intense peaks (5° ≤ 2θ ≤ 70°), by angle:
d (Å)	I/Imax
14.550	19
4.841	100
2.597	14
2.464	24
2.173	28
2.043	53
1.581	9
1.489	27

8.
Diffraction record for Li3MnCoO5. The X-ray diffraction stick pattern is simulated, not measured: it uses a structure optimized by DFT (GGA+U) and Cu Kα.

Crystal structure
Cell: 2.9169 6.5732 9.9076 Å, 79.13 89.23 77.21°
Space group P1 (No. 1)
Asymmetric unit:
Li: 0.0000 0.0000 0.0000 x1
Li: 0.0680 0.8144 0.2803 x1
Li: 0.1648 0.6186 0.5768 x1
Li: 0.3844 0.1890 0.1950 x1
Li: 0.5617 0.8098 0.7753 x1
Li: 0.7725 0.4208 0.3796 x1
Mn: 0.6865 0.6171 0.0883 x1
Mn: 0.8698 0.2039 0.6819 x1
Co: 0.2809 0.4056 0.8872 x1
Co: 0.4825 0.9866 0.4684 x1
O: 0.0070 0.9327 0.6343 x1
O: 0.1583 0.6906 0.9503 x1
O: 0.2311 0.5193 0.2121 x1
O: 0.3292 0.2928 0.5553 x1
O: 0.4065 0.1218 0.8150 x1
O: 0.5489 0.8848 0.1267 x1
O: 0.6204 0.7178 0.4410 x1
O: 0.7184 0.4846 0.7451 x1
O: 0.8492 0.3244 0.0233 x1
O: 0.9231 0.1129 0.3446 x1

The 8 most intense peaks (5° ≤ 2θ ≤ 70°), by angle:
d (Å)	I/Imax
9.726	18
4.876	100
2.512	23
2.487	11
2.107	28
2.077	53
1.478	14
1.458	7

9.
Diffraction record for Li6Mn3CoO10. The X-ray diffraction stick pattern is simulated, not measured: it uses a structure optimized by DFT (GGA+U) and Cu Kα.

Crystal structure
Cell: 21.8223 2.8866 5.8786 Å, 90.00 97.64 90.00°
Space group Cm (No. 8)
Asymmetric unit:
Li: 0.0000 0.0000 0.0000 x2
Li: 0.0027 0.0000 0.5151 x2
Li: 0.0940 0.5000 0.7942 x2
Li: 0.1899 0.0000 0.5982 x2
Li: 0.3045 0.5000 0.4098 x2
Li: 0.4154 0.0000 0.2211 x2
Mn: 0.1990 0.0000 0.1103 x2
Mn: 0.3033 0.5000 0.9071 x2
Mn: 0.4095 0.0000 0.7091 x2
Co: 0.0872 0.5000 0.3130 x2
O: 0.0055 0.5000 0.2510 x2
O: 0.1004 0.0000 0.5448 x2
O: 0.1119 0.0000 0.0828 x2
O: 0.2005 0.5000 0.8847 x2
O: 0.2064 0.5000 0.3342 x2
O: 0.2951 0.0000 0.1308 x2
O: 0.3105 0.0000 0.6849 x2
O: 0.4014 0.5000 0.4843 x2
O: 0.4043 0.5000 0.9343 x2
O: 0.4930 0.0000 0.7512 x2

The 8 most intense peaks (5° ≤ 2θ ≤ 70°), by angle:
d (Å)	I/Imax
10.814	10
4.866	100
2.587	14
2.482	23
2.163	31
2.059	57
1.492	27
1.443	11

10.
Diffraction record for Li4Mn3CoO8. The X-ray diffraction stick pattern is simulated, not measured: it uses a structure optimized by DFT (GGA+U) and Cu Kα.

Crystal structure
Cell: 3.0830 6.1072 8.1394 Å, 90.34 90.83 95.35°
Space group P-1 (No. 2)
Asymmetric unit:
Li: 0.0000 0.0000 0.0000 x1
Li: 0.0000 0.5000 0.5000 x1
Li: 0.4967 0.2518 0.2475 x2
Mn: 0.0000 0.0000 0.5000 x1
Mn: 0.4883 0.2538 0.7519 x2
Co: 0.0000 0.5000 0.0000 x1
O: 0.0296 0.0100 0.7408 x2
O: 0.0376 0.5042 0.2384 x2
O: 0.4666 0.2422 0.5123 x2
O: 0.4721 0.2664 0.9899 x2

The 8 most intense peaks (5° ≤ 2θ ≤ 70°), by angle:
d (Å)	I/Imax
4.888	100
2.698	21
2.501	13
2.470	17
2.430	9
2.268	35
2.066	25
2.035	24